SeS4N3Cl5: simulated powder diffraction line list (Cu Kα (λ = 1.5418 Å)), based on DFT lattice parameters and positions (PBE).
No peak broadening, texture or thermal motion is included.

Top 8 peaks for 2θ = 10–80°, by intensity:
2θ (°), intensity, hkl
17.79, 100.0, 1 1 2
35.31, 45.0, 2 3 0
15.35, 41.9, 1 1 1
10.13, 37.9, 0 1 1
27.97, 37.4, 2 0 3
21.27, 32.7, 1 1 3
31.35, 29.0, 0 0 6
32.61, 23.1, 0 1 6

Crystal structure
```
SeS4N3Cl5
1.0
7.695 0.000 0.000
0.000 10.159 0.000
0.000 0.000 17.112
Se S N Cl
4 16 12 20
Direct
0.116 0.069 0.013
0.384 0.931 0.513
0.616 0.431 0.987
0.884 0.569 0.487
0.108 0.399 0.157
0.113 0.409 0.813
0.198 0.687 0.175
0.248 0.329 0.256
0.252 0.671 0.756
0.302 0.313 0.675
0.387 0.591 0.313
0.392 0.601 0.657
0.608 0.101 0.843
0.613 0.091 0.187
0.698 0.813 0.825
0.748 0.171 0.744
0.752 0.829 0.244
0.802 0.187 0.325
0.887 0.909 0.687
0.892 0.899 0.343
0.123 0.551 0.150
0.160 0.557 0.802
0.182 0.309 0.750
0.318 0.691 0.250
0.340 0.443 0.302
0.377 0.449 0.650
0.623 0.949 0.850
0.660 0.943 0.198
0.682 0.191 0.250
0.818 0.809 0.750
0.840 0.057 0.698
0.877 0.051 0.350
0.068 0.393 0.472
0.107 0.103 0.162
0.112 0.044 0.878
0.146 0.055 0.526
0.194 0.723 0.496
0.306 0.277 0.996
0.354 0.945 0.026
0.388 0.956 0.378
0.393 0.897 0.662
0.432 0.607 0.972
0.568 0.107 0.528
0.607 0.397 0.838
0.612 0.456 0.122
0.646 0.445 0.474
0.694 0.777 0.504
0.806 0.223 0.004
0.854 0.555 0.974
0.888 0.544 0.622
0.893 0.603 0.338
0.932 0.893 0.028
```